Record 1
Theoretical powder XRD pattern of Ba2CaCo2CuF14 for a wavelength of 1.5418 Å, from a cell relaxed with GGA+U.
Neutral-atom scattering factors, no anomalous dispersion.

Top 12 peaks for 10 to 80 degrees two-theta, sorted by position:
2theta	d (Å)	I/Imax
21.32	4.168	16
23.86	3.730	28
25.23	3.530	100
26.74	3.334	23
27.50	3.243	16
27.69	3.222	27
29.57	3.021	35
29.92	2.987	28
38.85	2.318	19
40.14	2.247	19
41.10	2.196	37
55.10	1.667	17

Cell and atoms:
```
Ba2CaCo2CuF14
1.0
6.9615 -2.7199 0.0000
6.9615 2.7199 0.0000
-0.4949 0.0000 14.9201
Ba Ca Co Cu F
4 2 4 2 28
direct
0.0509 0.3306 0.8724
0.1871 0.1871 0.3727
0.6694 0.9491 0.1276
0.8129 0.8129 0.6273
0.3515 0.6485 0.0000
0.5139 0.4861 0.5000
0.0269 0.2181 0.1254
0.0770 0.1613 0.6258
0.7819 0.9731 0.8746
0.8387 0.9230 0.3742
0.4254 0.5681 0.7509
0.4319 0.5746 0.2491
0.0083 0.0057 0.9034
0.0534 0.6733 0.7942
0.0632 0.7722 0.2667
0.0835 0.4143 0.1516
0.1088 0.6505 0.4575
0.2278 0.9368 0.7333
0.2754 0.0434 0.0310
0.2801 0.2269 0.6526
0.3172 0.5764 0.6326
0.3267 0.9466 0.2058
0.3495 0.8912 0.5425
0.4236 0.6828 0.3674
0.4310 0.4612 0.1343
0.5080 0.2492 0.9595
0.5364 0.1874 0.2962
0.5388 0.5690 0.8657
0.5750 0.1099 0.4729
0.5857 0.9165 0.8484
0.6309 0.1960 0.7734
0.7508 0.4920 0.0405
0.7731 0.7199 0.3474
0.8040 0.3691 0.2266
0.8126 0.4636 0.7038
0.8507 0.1378 0.5954
0.8622 0.1493 0.4046
0.8901 0.4250 0.5271
0.9566 0.7246 0.9690
0.9943 0.9917 0.0966
```

---

Record 2
Theoretical powder XRD pattern of BaCaCoF7 for a wavelength of 1.5418 Å, from a cell relaxed with GGA+U.
Neutral-atom scattering factors, no anomalous dispersion.

Top 12 peaks for 10 to 80 degrees two-theta, sorted by position:
2theta	d (Å)	I/Imax
24.32	3.659	100
24.51	3.632	57
24.91	3.575	28
25.65	3.473	80
28.28	3.155	35
30.77	2.906	30
37.50	2.398	29
39.11	2.303	81
40.22	2.242	30
41.17	2.192	28
50.66	1.802	30
52.46	1.744	26

Cell and atoms:
```
BaCaCoF7
1.0
5.8191 0.0000 0.0000
0.0000 10.4379 0.0000
-0.5105 0.0000 9.9308
Ba Ca Co F
4 4 4 28
direct
0.2298 0.1741 0.4947
0.2298 0.3259 0.9947
0.7702 0.6741 0.0053
0.7702 0.8259 0.5053
0.2053 0.5913 0.3209
0.2053 0.9087 0.8209
0.7947 0.0913 0.1791
0.7947 0.4087 0.6791
0.3098 0.6204 0.6924
0.3098 0.8796 0.1924
0.6902 0.1204 0.8076
0.6902 0.3796 0.3076
0.0310 0.7061 0.7580
0.0310 0.7939 0.2580
0.1125 0.5396 0.1145
0.1125 0.9604 0.6145
0.1575 0.0378 0.1311
0.1575 0.4622 0.6311
0.2222 0.7005 0.5241
0.2222 0.7995 0.0241
0.4008 0.5420 0.8543
0.4008 0.9580 0.3543
0.4028 0.0798 0.8918
0.4028 0.4202 0.3918
0.4876 0.7263 0.2556
0.4876 0.7737 0.7556
0.5124 0.2263 0.2444
0.5124 0.2737 0.7444
0.5972 0.5798 0.6082
0.5972 0.9202 0.1082
0.5992 0.0420 0.6457
0.5992 0.4580 0.1457
0.7778 0.2005 0.9759
0.7778 0.2995 0.4759
0.8425 0.5378 0.3689
0.8425 0.9622 0.8689
0.8875 0.0396 0.3855
0.8875 0.4604 0.8855
0.9690 0.2061 0.7420
0.9690 0.2939 0.2420
```

---

Record 3
Theoretical powder XRD pattern of Ba2CaV2CoF14 for a wavelength of 1.5418 Å, from a cell relaxed with GGA+U.
Neutral-atom scattering factors, no anomalous dispersion.

Top 12 peaks for 10 to 80 degrees two-theta, sorted by position:
2theta	d (Å)	I/Imax
21.15	4.201	24
23.31	3.816	27
25.26	3.526	100
26.41	3.375	26
27.70	3.220	27
28.00	3.186	21
29.21	3.057	34
29.43	3.035	28
33.00	2.715	22
37.93	2.372	21
40.80	2.212	25
40.91	2.206	22

Cell and atoms:
```
Ba2CaV2CoF14
1.0
6.9579 -2.7146 0.0000
6.9579 2.7146 0.0000
-0.3142 0.0000 15.2620
Ba Ca V Co F
4 2 4 2 28
direct
0.1425 0.2378 0.1206
0.2378 0.1425 0.6206
0.7622 0.8575 0.3794
0.8575 0.7622 0.8794
0.4415 0.5585 0.2500
0.5585 0.4415 0.7500
0.1121 0.1241 0.3771
0.1241 0.1121 0.8771
0.8759 0.8879 0.1229
0.8879 0.8759 0.6229
0.5000 0.5000 0.0000
0.5000 0.5000 0.5000
0.0457 0.6283 0.2233
0.0743 0.9037 0.3411
0.0963 0.9257 0.1589
0.1133 0.7245 0.5139
0.1619 0.5861 0.7014
0.1714 0.5840 0.0471
0.1926 0.3062 0.4161
0.2755 0.8867 0.9861
0.3062 0.1926 0.9161
0.3620 0.5233 0.8778
0.3717 0.9543 0.2767
0.4139 0.8381 0.7986
0.4160 0.8286 0.4529
0.4767 0.6380 0.6222
0.5233 0.3620 0.3778
0.5840 0.1714 0.5471
0.5861 0.1619 0.2014
0.6283 0.0457 0.7233
0.6380 0.4767 0.1222
0.6938 0.8074 0.0839
0.7245 0.1133 0.0139
0.8074 0.6938 0.5839
0.8286 0.4160 0.9529
0.8381 0.4139 0.2986
0.8867 0.2755 0.4861
0.9037 0.0743 0.8411
0.9257 0.0963 0.6589
0.9543 0.3717 0.7767
```

---

Record 4
Theoretical powder XRD pattern of Ba4CaGd3Co8O22 for a wavelength of 1.5418 Å, from a cell relaxed with GGA+U.
Neutral-atom scattering factors, no anomalous dispersion.

Top 12 peaks for 10 to 80 degrees two-theta, sorted by position:
2theta	d (Å)	I/Imax
32.45	2.759	100
32.99	2.715	52
40.25	2.241	20
45.72	1.984	16
47.24	1.924	16
47.47	1.915	13
57.53	1.602	18
58.50	1.578	19
58.65	1.574	21
67.85	1.381	9
69.21	1.357	8
78.69	1.216	8

Cell and atoms:
```
Ba4CaGd3Co8O22
1.0
0.0000 7.6613 7.9370
3.8483 0.0000 7.9370
3.8483 7.6613 0.0000
Ba Ca Gd Co O
4 1 3 8 22
direct
0.0006 0.5018 0.4982
0.2484 0.7516 0.2484
0.5018 0.0006 0.9994
0.7516 0.2484 0.7516
0.0092 0.0092 0.9908
0.2364 0.2364 0.7636
0.5113 0.5113 0.4887
0.7373 0.7373 0.2627
0.0049 0.7459 0.7545
0.2455 0.5052 0.9951
0.2477 0.9982 0.5038
0.4962 0.7496 0.7523
0.5052 0.2455 0.2541
0.7459 0.0049 0.4948
0.7496 0.4962 0.0018
0.9982 0.2477 0.2504
0.0152 0.2415 0.7585
0.1096 0.4023 0.0970
0.1256 0.1256 0.3744
0.1433 0.8432 0.6459
0.2415 0.0152 0.9848
0.2823 0.4674 0.5326
0.3541 0.6324 0.8567
0.3762 0.3762 0.1238
0.3860 0.8691 0.6140
0.4023 0.1096 0.3911
0.4674 0.2823 0.7177
0.5126 0.7382 0.2618
0.6089 0.9030 0.5977
0.6256 0.6256 0.8744
0.6324 0.3541 0.1568
0.7382 0.5126 0.4874
0.7788 0.9687 0.0313
0.8432 0.1433 0.3676
0.8691 0.3860 0.1309
0.8762 0.8762 0.6238
0.9030 0.6089 0.8904
0.9687 0.7788 0.2212
```

---

Record 5
Theoretical powder XRD pattern of Ba2CaYCo8O14 for a wavelength of 1.5418 Å, from a cell relaxed with GGA+U.
Neutral-atom scattering factors, no anomalous dispersion.

Top 12 peaks for 10 to 80 degrees two-theta, sorted by position:
2theta	d (Å)	I/Imax
18.09	4.903	47
23.63	3.765	86
26.26	3.394	74
31.31	2.857	98
31.78	2.815	100
32.07	2.791	63
41.31	2.186	31
44.78	2.024	46
48.96	1.860	21
49.61	1.837	51
54.04	1.697	64
63.25	1.470	29

Cell and atoms:
```
Ba2CaYCo8O14
1.0
6.7877 0.0000 0.0000
-3.3939 5.8783 0.0000
0.0000 0.0000 9.8058
Ba Ca Y Co O
2 1 1 8 14
direct
0.0000 0.0000 0.0000
0.3333 0.6667 0.5064
0.3333 0.6667 0.8638
0.0000 0.0000 0.3849
0.0008 0.5004 0.1164
0.2899 0.1450 0.6778
0.4996 0.5004 0.1164
0.4996 0.9992 0.1164
0.6667 0.3333 0.2860
0.6667 0.3333 0.6388
0.8550 0.1450 0.6778
0.8550 0.7101 0.6778
0.1270 0.2541 0.5751
0.1270 0.8730 0.5751
0.2023 0.4045 0.0467
0.2023 0.7978 0.0467
0.3375 0.1688 0.2644
0.5188 0.0375 0.7372
0.5188 0.4812 0.7372
0.5955 0.7978 0.0467
0.6667 0.3333 0.0839
0.6667 0.3333 0.4663
0.7459 0.8730 0.5751
0.8312 0.1688 0.2644
0.8312 0.6625 0.2644
0.9625 0.4812 0.7372
```

---

Record 6
Theoretical powder XRD pattern of Ba2CaYCo8O14 for a wavelength of 1.5418 Å, from a cell relaxed with GGA+U.
Neutral-atom scattering factors, no anomalous dispersion.

Top 12 peaks for 10 to 80 degrees two-theta, sorted by position:
2theta	d (Å)	I/Imax
27.82	3.206	35
30.31	2.949	46
30.50	2.931	31
32.70	2.739	100
32.99	2.715	50
33.28	2.692	65
33.36	2.686	39
33.55	2.671	22
34.56	2.595	36
54.98	1.670	28
55.36	1.660	20
57.48	1.603	37

Cell and atoms:
```
Ba2CaYCo8O14
1.0
5.5460 -3.2209 0.0000
5.5460 3.2209 0.0000
-0.1247 0.0000 10.3800
Ba Ca Y Co O
2 1 1 8 14
direct
0.0000 0.0000 0.0000
0.6820 0.6820 0.5022
0.6746 0.6746 0.8942
0.0097 0.0097 0.3890
0.0058 0.5093 0.2106
0.1690 0.6797 0.7084
0.1734 0.1734 0.7099
0.3380 0.3380 0.9691
0.3464 0.3464 0.4673
0.5093 0.0058 0.2106
0.5114 0.5114 0.2081
0.6797 0.1690 0.7084
0.0246 0.5148 0.0218
0.1699 0.6655 0.5184
0.1819 0.1819 0.5278
0.3188 0.8605 0.7725
0.3377 0.3377 0.7748
0.3438 0.3438 0.2807
0.3525 0.8384 0.2804
0.5017 0.5017 0.0206
0.5148 0.0246 0.0218
0.6655 0.1699 0.5184
0.8373 0.8373 0.2779
0.8384 0.3525 0.2804
0.8476 0.8476 0.7734
0.8605 0.3188 0.7725
```